The following is a simulated PXRD pattern of FeP2. It was derived from a cell relaxed with PBE, using Cu Kα.
No peak broadening, texture or thermal motion is included.

Most intense lines, 10 to 90 degrees two-theta, by intensity:
| d [Å] | I/Imax |
| --- | --- |
| 2.385 | 1000 |
| 3.724 | 656 |
| 1.743 | 607 |
| 2.451 | 441 |
| 1.546 | 349 |
| 1.821 | 342 |
| 1.586 | 330 |
| 1.758 | 320 |
| 2.197 | 305 |
| 2.820 | 301 |

```
6
Lattice="4.9589 0.0000 0.0000 0.0000 5.6397 0.0000 0.0000 0.0000 2.7200" Properties=species:S:1:pos:R:3 pbc="T T T"
Fe 0.0000 0.0000 0.0000
Fe 2.4794 2.8199 1.3600
P 0.8456 2.0743 0.0000
P 1.6338 4.8942 1.3600
P 3.3251 0.7455 1.3600
P 4.1133 3.5654 0.0000
```

=====

The following is a simulated PXRD pattern of Fe3P. It was derived from a cell relaxed with PBE, using Cu Kα.
No peak broadening, texture or thermal motion is included.

Most intense lines, 10 to 90 degrees two-theta, by intensity:
| d [Å] | I/Imax |
| --- | --- |
| 2.176 | 1000 |
| 1.960 | 850 |
| 2.073 | 543 |
| 2.021 | 349 |
| 1.739 | 288 |
| 2.130 | 263 |
| 1.772 | 223 |
| 1.807 | 192 |
| 2.483 | 173 |
| 1.671 | 133 |

```
16
Lattice="-4.5190 4.5190 2.1911 4.5190 -4.5190 2.1911 4.5190 4.5190 -2.1911" Properties=species:S:1:pos:R:3 pbc="T T T"
Fe 2.5321 2.9883 -1.0602
Fe 4.2345 1.2422 -0.0451
Fe 5.2284 3.5579 -1.0289
Fe -0.7095 0.9611 1.1622
Fe 1.9869 1.5307 1.1309
Fe 3.2767 -0.2845 2.2361
Fe 6.0496 2.5321 1.0602
Fe 1.2422 4.8035 0.0451
Fe 3.5579 3.8095 1.0289
Fe 0.9611 0.7095 3.2200
Fe 0.2845 3.2767 2.1460
Fe -1.5307 1.9869 3.2512
P 6.4053 0.4130 0.0290
P 0.4130 2.6326 -0.0290
P 4.1060 1.8863 2.1620
P -1.8863 4.1060 2.2201
```

=====

- Which formula does entry 1 have?
  FeP2